(1)
For KOsNCl4O2, a crystal structure in Alexandria, relaxed with GGA-PBE gives the calculated X-ray diffraction stick pattern in this record (a wavelength of 1.5418 Å).
Kinematic intensities with the Lorentz-polarization factor, no thermal factor.

Crystal structure
a b c (Å): 7.815 7.815 7.937
angles (deg): 90.00 90.00 101.75
Sites, in units of the cell vectors:
1 K 0.144 0.856 0.500
2 K 0.856 0.144 0.000
3 Os 0.320 0.680 0.001
4 Os 0.680 0.320 0.501
5 N 0.294 0.706 0.791
6 N 0.706 0.294 0.291
7 Cl 0.020 0.414 0.435
8 Cl 0.293 0.391 0.053
9 Cl 0.391 0.293 0.553
10 Cl 0.414 0.020 0.935
11 Cl 0.586 0.980 0.435
12 Cl 0.609 0.707 0.053
13 Cl 0.707 0.609 0.553
14 Cl 0.980 0.586 0.935
15 O 0.062 0.938 0.832
16 O 0.217 0.783 0.158
17 O 0.783 0.217 0.658
18 O 0.938 0.062 0.332

Principal peaks in the range 2θ from 10° to 90°, by intensity:
16.1 deg, rel. 100; 25.9 deg, rel. 41; 18.4 deg, rel. 36; 36.6 deg, rel. 36; 22.4 deg, rel. 36; 14.6 deg, rel. 20; 18.0 deg, rel. 20; 11.6 deg, rel. 16

(2)
For KPtNCl3O, a crystal structure in Alexandria, relaxed with GGA-PBE gives the calculated X-ray diffraction stick pattern in this record (a wavelength of 1.5418 Å).
Kinematic intensities with the Lorentz-polarization factor, no thermal factor.

Crystal structure
a b c (Å): 9.992 9.992 7.832
angles (deg): 90.00 90.00 152.81
Sites, in units of the cell vectors:
1 K 0.100 0.900 0.500
2 K 0.900 0.100 0.000
3 Pt 0.328 0.672 0.520
4 Pt 0.672 0.328 0.020
5 N 0.256 0.744 0.370
6 N 0.744 0.256 0.870
7 Cl 0.250 0.750 0.748
8 Cl 0.408 0.592 0.303
9 Cl 0.419 0.581 0.722
10 Cl 0.581 0.419 0.222
11 Cl 0.592 0.408 0.803
12 Cl 0.750 0.250 0.248
13 O 0.010 0.990 0.771
14 O 0.990 0.010 0.271

Principal peaks in the range 2θ from 10° to 90°, by intensity:
22.5 deg, rel. 100; 14.5 deg, rel. 52; 21.5 deg, rel. 41; 23.4 deg, rel. 38; 37.8 deg, rel. 30; 32.8 deg, rel. 20; 36.0 deg, rel. 18; 38.3 deg, rel. 18

(3)
For K4NaCl5, a crystal structure in Alexandria, relaxed with GGA-PBE gives the calculated X-ray diffraction stick pattern in this record (a wavelength of 1.5418 Å).
Kinematic intensities with the Lorentz-polarization factor, no thermal factor.

Crystal structure
a b c (Å): 7.645 7.645 7.645
angles (deg): 99.72 99.72 131.47
Sites, in units of the cell vectors:
1 K 0.097 0.701 0.799
2 K 0.299 0.097 0.396
3 K 0.701 0.903 0.604
4 K 0.903 0.299 0.201
5 Na 0.500 0.500 0.000
6 Cl 0.000 0.000 0.000
7 Cl 0.216 0.408 0.624
8 Cl 0.408 0.784 0.191
9 Cl 0.592 0.216 0.809
10 Cl 0.784 0.592 0.376

Principal peaks in the range 2θ from 10° to 90°, by intensity:
28.6 deg, rel. 100; 40.8 deg, rel. 68; 28.4 deg, rel. 52; 40.9 deg, rel. 32; 50.6 deg, rel. 32; 74.5 deg, rel. 17; 66.7 deg, rel. 13; 67.0 deg, rel. 12

(4)
For K4NaCl5, a crystal structure in Alexandria, relaxed with GGA-PBE gives the calculated X-ray diffraction stick pattern in this record (a wavelength of 1.5418 Å).
Kinematic intensities with the Lorentz-polarization factor, no thermal factor.

Crystal structure
a b c (Å): 11.724 11.724 11.724
angles (deg): 158.47 148.92 38.13
Sites, in units of the cell vectors:
1 K 0.099 0.099 0.000
2 K 0.305 0.305 0.000
3 K 0.695 0.695 0.000
4 K 0.901 0.901 0.000
5 Na 0.500 0.500 0.000
6 Cl 0.000 0.500 0.500
7 Cl 0.201 0.701 0.500
8 Cl 0.411 0.911 0.500
9 Cl 0.589 0.089 0.500
10 Cl 0.799 0.299 0.500

Principal peaks in the range 2θ from 10° to 90°, by intensity:
28.7 deg, rel. 100; 40.8 deg, rel. 84; 28.4 deg, rel. 53; 41.2 deg, rel. 17; 50.8 deg, rel. 17; 50.4 deg, rel. 16; 66.7 deg, rel. 13; 67.1 deg, rel. 12

(5)
For K3Na5Cl8, a crystal structure in Alexandria, relaxed with GGA-PBE gives the calculated X-ray diffraction stick pattern in this record (a wavelength of 1.5418 Å).
Kinematic intensities with the Lorentz-polarization factor, no thermal factor.

Crystal structure
a b c (Å): 8.447 8.447 8.447
angles (deg): 59.63 59.63 59.63
Sites, in units of the cell vectors:
1 K 0.000 0.500 0.500
2 K 0.500 0.000 0.500
3 K 0.500 0.500 0.000
4 Na 0.000 0.000 0.000
5 Na 0.000 0.000 0.500
6 Na 0.000 0.500 0.000
7 Na 0.500 0.000 0.000
8 Na 0.500 0.500 0.500
9 Cl 0.232 0.750 0.750
10 Cl 0.241 0.241 0.241
11 Cl 0.250 0.250 0.768
12 Cl 0.250 0.768 0.250
13 Cl 0.750 0.232 0.750
14 Cl 0.750 0.750 0.232
15 Cl 0.759 0.759 0.759
16 Cl 0.768 0.250 0.250

Principal peaks in the range 2θ from 10° to 90°, by intensity:
30.0 deg, rel. 100; 43.1 deg, rel. 33; 42.8 deg, rel. 32; 53.4 deg, rel. 16; 70.9 deg, rel. 12; 70.6 deg, rel. 11; 62.4 deg, rel. 9; 78.8 deg, rel. 9

(6)
For K3Na3ScCl8, a crystal structure in Alexandria, relaxed with GGA-PBE gives the calculated X-ray diffraction stick pattern in this record (a wavelength of 1.5418 Å).
Kinematic intensities with the Lorentz-polarization factor, no thermal factor.

Crystal structure
a b c (Å): 8.594 8.594 8.594
angles (deg): 58.08 58.08 58.08
Sites, in units of the cell vectors:
1 K 0.000 0.500 0.500
2 K 0.500 0.000 0.500
3 K 0.500 0.500 0.000
4 Na 0.000 0.000 0.500
5 Na 0.000 0.500 0.000
6 Na 0.500 0.000 0.000
7 Sc 0.500 0.500 0.500
8 Cl 0.241 0.241 0.241
9 Cl 0.258 0.722 0.722
10 Cl 0.278 0.278 0.742
11 Cl 0.278 0.742 0.278
12 Cl 0.722 0.258 0.722
13 Cl 0.722 0.722 0.258
14 Cl 0.742 0.278 0.278
15 Cl 0.759 0.759 0.759

Principal peaks in the range 2θ from 10° to 90°, by intensity:
29.9 deg, rel. 100; 43.4 deg, rel. 33; 42.1 deg, rel. 28; 12.9 deg, rel. 24; 53.6 deg, rel. 18; 71.3 deg, rel. 12; 62.0 deg, rel. 10; 78.7 deg, rel. 8

(7)
For K2NaTeCl, a crystal structure in Alexandria, relaxed with GGA-PBE gives the calculated X-ray diffraction stick pattern in this record (a wavelength of 1.5418 Å).
Kinematic intensities with the Lorentz-polarization factor, no thermal factor.

Crystal structure
a b c (Å): 5.832 5.832 5.281
angles (deg): 90.00 90.00 90.00
Sites, in units of the cell vectors:
1 K 0.000 0.500 0.000
2 K 0.500 0.000 0.000
3 Na 0.000 0.000 0.500
4 Te 0.500 0.500 0.500
5 Cl 0.000 0.000 0.000

Principal peaks in the range 2θ from 10° to 90°, by intensity:
27.4 deg, rel. 100; 22.7 deg, rel. 79; 30.7 deg, rel. 71; 46.4 deg, rel. 42; 38.5 deg, rel. 38; 52.6 deg, rel. 31; 33.9 deg, rel. 26; 21.6 deg, rel. 25